LiBO2: calculated X-ray powder pattern (Cu Kα), based on the GGA-PBE geometry in Alexandria.
Intensities are scaled so that the largest is 100.

Structural model:
```
data_LiBO2
_cell_length_a 5.5644
_cell_length_b 8.1426
_cell_length_c 4.0540
_cell_angle_alpha 90.00
_cell_angle_beta 117.08
_cell_angle_gamma 90.00
_space_group_name_H-M_alt 'C 1 2/c 1'
_space_group_IT_number 15
_space_group_name_Hall '-C 2yc'
loop_
_atom_site_label
_atom_site_fract_x
_atom_site_fract_y
_atom_site_fract_z
Li1 0.0000 0.1992 0.2500
B1 0.0000 0.4946 0.7500
O1 0.1518 0.4024 0.5915
```

Largest 10 diffraction maxima, by angle, 15° ≤ 2θ ≤ 90°:
21.0°, rel. 100.0, hkl 1 1 0
21.8°, rel. 21.9, hkl 0 2 0
25.5°, rel. 14.5, hkl 1 1 -1
33.2°, rel. 21.2, hkl 0 2 1
38.6°, rel. 6.3, hkl 1 1 1
40.1°, rel. 18.7, hkl 2 2 -1
46.4°, rel. 6.5, hkl 1 1 -2
50.3°, rel. 14.7, hkl 1 3 1
56.7°, rel. 4.5, hkl 2 4 -1
56.9°, rel. 6.0, hkl 1 3 -2

LiB2O4: calculated X-ray powder pattern (Cu Kα), based on the GGA-PBE geometry in Alexandria.
Intensities are scaled so that the largest is 100.

Structural model:
```
data_LiB2O4
_cell_length_a 5.5714
_cell_length_b 5.5714
_cell_length_c 4.0975
_cell_angle_alpha 90.00
_cell_angle_beta 90.00
_cell_angle_gamma 90.00
_space_group_name_H-M_alt 'I 4 2 2'
_space_group_IT_number 97
_space_group_name_Hall 'I 4 2'
loop_
_atom_site_label
_atom_site_fract_x
_atom_site_fract_y
_atom_site_fract_z
Li1 0.0000 0.0000 0.0000
B1 0.0000 0.5000 0.0000
O1 0.1360 0.3640 0.7500
```

Largest 10 diffraction maxima, by angle, 15° ≤ 2θ ≤ 90°:
22.6°, rel. 100.0, hkl 1 1 0
42.5°, rel. 80.8, hkl 2 1 1
44.2°, rel. 7.2, hkl 0 0 2
51.9°, rel. 5.4, hkl 3 1 0
55.7°, rel. 5.6, hkl 2 0 2
64.4°, rel. 8.3, hkl 3 2 1
70.5°, rel. 9.7, hkl 3 1 2
71.9°, rel. 3.3, hkl 3 3 0
80.1°, rel. 6.7, hkl 2 1 3
84.0°, rel. 9.4, hkl 4 0 2

Li3B7O12: calculated X-ray powder pattern (Cu Kα), based on the GGA-PBE geometry in Alexandria.
Intensities are scaled so that the largest is 100.

Structural model:
```
data_Li3B7O12
_cell_length_a 6.5616
_cell_length_b 7.9902
_cell_length_c 8.6274
_cell_angle_alpha 91.30
_cell_angle_beta 104.72
_cell_angle_gamma 99.09
_space_group_name_H-M_alt 'P -1'
_space_group_IT_number 2
_space_group_name_Hall '-P 1'
loop_
_atom_site_label
_atom_site_fract_x
_atom_site_fract_y
_atom_site_fract_z
Li1 0.0108 0.3053 0.1826
Li2 0.2218 0.8033 0.5334
Li3 0.4826 0.9222 0.1958
B1 0.0416 0.7075 0.1912
B2 0.0948 0.0402 0.7012
B3 0.2152 0.1404 0.9905
B4 0.2455 0.1297 0.4586
B5 0.2694 0.5044 0.7693
B6 0.3832 0.5711 0.2142
B7 0.4379 0.2731 0.2707
O1 0.0349 0.8268 0.3201
O2 0.0471 0.1309 0.3502
O3 0.0595 0.2407 0.9697
O4 0.0666 0.4671 0.7860
O5 0.2277 0.0339 0.8664
O6 0.2606 0.0582 0.6048
O7 0.2691 0.7015 0.1953
O8 0.3122 0.4113 0.2518
O9 0.3320 0.6611 0.7162
O10 0.3599 0.1384 0.1375
O11 0.4110 0.3903 0.8076
O12 0.4341 0.1949 0.4236
```

Largest 10 diffraction maxima, by angle, 15° ≤ 2θ ≤ 90°:
16.5°, rel. 59.9, hkl 1 -1 0
20.0°, rel. 41.4, hkl 1 1 -1
21.3°, rel. 100.0, hkl 0 0 2
24.6°, rel. 22.0, hkl 1 -2 0
24.8°, rel. 92.7, hkl 0 1 2
25.9°, rel. 25.3, hkl -1 2 1
28.8°, rel. 17.3, hkl 1 2 0
28.8°, rel. 31.9, hkl 1 2 -1
32.3°, rel. 26.3, hkl 0 2 2
39.4°, rel. 20.9, hkl 1 3 0